(1)
This entry pairs a crystal structure of Li7V3Si2O12 with its simulated powder diffractogram. Radiation: Cu Kα X-rays. Structure: a DFT-relaxed cell (PBE+U, Alexandria).
Kinematic intensities with the Lorentz-polarization factor, no thermal factor.

Principal peaks in the range 5° ≤ 2θ ≤ 70°, in order of rising 2θ:
Position (°2θ)	I/Imax
9.1	57
18.3	100
36.6	29
39.4	10
44.1	100
48.1	8
57.7	14
63.3	26
64.9	25
68.0	12

Crystal structure
```
24
Lattice="2.489 -4.310 0.000 2.489 4.310 0.000 -1.658 0.000 9.712" Properties=species:S:1:pos:R:3 pbc="T T T"
Li 0.000 0.000 0.000
Li 0.811 1.407 2.363
Li -0.032 0.000 7.349
Li 0.811 -1.407 2.363
Li 2.509 1.407 7.349
Li 3.352 0.000 2.363
Li 2.509 -1.407 7.349
V 1.660 2.873 4.856
V 1.660 0.000 4.856
V 1.660 -2.873 4.856
Si 2.489 1.437 0.000
Si 2.489 -1.437 0.000
O 1.557 2.695 0.997
O -0.003 0.000 3.663
O 0.829 1.434 6.018
O 1.764 2.695 8.715
O 1.865 0.000 0.997
O 2.491 1.434 3.694
O 0.829 -1.434 6.018
O 1.455 0.000 8.715
O 1.557 -2.695 0.997
O 2.491 -1.434 3.694
O 3.323 0.000 6.049
O 1.764 -2.695 8.715
```

(2)
This entry pairs a crystal structure of Li2VSi7O16 with its simulated powder diffractogram. Radiation: Cu Kα X-rays. Structure: a DFT-relaxed cell (PBE+U, Alexandria).
Kinematic intensities with the Lorentz-polarization factor, no thermal factor.

Principal peaks in the range 5° ≤ 2θ ≤ 70°, in order of rising 2θ:
Position (°2θ)	I/Imax
13.5	81
21.8	99
22.7	28
22.9	29
23.5	22
23.8	39
27.2	76
27.4	100
30.1	21
36.4	24

Crystal structure
```
26
Lattice="7.265 0.000 0.000 -1.535 7.491 0.000 -2.096 -3.884 6.482" Properties=species:S:1:pos:R:3 pbc="T T T"
Li 0.000 0.000 0.000
Li 0.211 2.601 4.304
V 3.442 -0.035 0.416
Si 1.229 0.443 2.735
Si 1.786 4.198 0.180
Si 1.715 -1.519 5.005
Si 3.507 1.918 3.979
Si 3.866 4.534 2.459
Si 5.595 0.026 2.468
Si 5.924 4.123 0.037
O 0.202 3.749 0.361
O -0.349 0.810 3.061
O 1.519 0.345 1.165
O -0.206 1.737 5.948
O 0.460 -0.896 5.870
O 1.663 -0.941 3.470
O 0.149 4.378 5.011
O 1.932 1.727 3.558
O 2.452 4.259 1.702
O 3.122 -0.944 5.671
O 4.304 0.879 3.030
O 5.559 -0.014 0.872
O 3.967 3.465 3.724
O 3.740 1.648 5.592
O 5.484 -1.477 3.139
O 5.142 4.351 1.450
```

(3)
This entry pairs a crystal structure of Li2V2Si2O9 with its simulated powder diffractogram. Radiation: Cu Kα X-rays. Structure: a DFT-relaxed cell (PBE+U, Alexandria).
Kinematic intensities with the Lorentz-polarization factor, no thermal factor.

Principal peaks in the range 5° ≤ 2θ ≤ 70°, in order of rising 2θ:
Position (°2θ)	I/Imax
16.3	85
19.9	27
20.9	25
27.2	100
27.9	26
30.0	47
33.2	64
36.3	40
53.6	33
57.2	29

Crystal structure
```
60
Lattice="8.384 0.000 0.000 0.000 5.272 0.000 0.000 0.000 14.222" Properties=species:S:1:pos:R:3 pbc="T T T"
Li 0.293 0.447 2.307
Li 0.293 4.825 9.418
Li 3.898 2.189 9.418
Li 3.898 3.083 2.307
Li 4.485 2.189 11.916
Li 4.485 3.083 4.804
Li 8.090 0.447 4.804
Li 8.090 4.825 11.916
V 1.319 2.186 11.777
V 1.319 3.086 4.666
V 2.873 0.450 4.666
V 2.873 4.822 11.777
V 5.511 0.450 2.445
V 5.511 4.822 9.556
V 7.065 2.186 9.556
V 7.065 3.086 2.445
Si 1.309 1.373 7.490
Si 1.309 3.899 0.379
Si 2.882 1.263 0.379
Si 2.882 4.009 7.490
Si 5.501 1.263 6.732
Si 5.501 4.009 13.843
Si 7.074 1.373 13.843
Si 7.074 3.899 6.732
O 0.000 2.318 3.556
O 0.000 2.954 10.667
O 0.135 1.492 13.130
O 0.135 3.779 6.019
O 1.281 1.339 5.853
O 1.281 3.933 12.964
O 1.452 0.444 10.971
O 1.452 4.828 3.860
O 1.881 0.078 0.940
O 1.881 5.194 8.051
O 2.310 2.558 8.051
O 2.310 2.714 0.940
O 2.740 2.192 3.860
O 2.740 3.080 10.971
O 2.911 1.297 12.964
O 2.911 3.975 5.853
O 4.056 1.143 6.019
O 4.056 4.128 13.130
O 4.192 0.318 10.667
O 4.192 4.954 3.556
O 4.327 1.143 1.092
O 4.327 4.128 8.203
O 5.472 1.297 8.370
O 5.472 3.975 1.258
O 5.643 2.192 3.251
O 5.643 3.080 10.363
O 6.073 2.558 13.282
O 6.073 2.714 6.171
O 6.502 0.078 6.171
O 6.502 5.194 13.282
O 6.932 0.444 10.363
O 6.932 4.828 3.251
O 7.103 1.339 1.258
O 7.103 3.933 8.370
O 8.248 1.492 8.203
O 8.248 3.779 1.092
```